Record 1
Starting from a crystal structure in the Materials Project, relaxed with PBE+U, the XRD peak list of Ba4Na2W2O11 was calculated for Cu Kα.
Kinematic intensities with the Lorentz-polarization factor, no thermal factor.

Most intense lines, 2θ = 15–90°, by angle:
| hkl | 2theta | I_rel |
| --- | --- | --- |
| 1 1 1 | 17.9 | 967 |
| 2 0 2 | 29.2 | 842 |
| 2 2 0 | 29.5 | 834 |
| 0 2 2 | 29.8 | 1000 |
| 0 4 0 | 43.0 | 255 |
| 4 2 2 | 51.9 | 301 |
| 2 2 4 | 52.3 | 352 |
| 2 4 2 | 52.9 | 327 |

Structure:
```
data_Ba4Na2W2O11
_space_group_name_H-M_alt 'A m m 2'
_space_group_IT_number 38
_cell_length_a 8.7098
_cell_length_b 8.4102
_cell_length_c 8.5785
_cell_angle_alpha 90.00
_cell_angle_beta 90.00
_cell_angle_gamma 90.00
loop_
_space_group_symop_operation_xyz
'x,y,z'
'-x,-y,z'
'-x,y,z'
'x,-y,z'
'x,y+1/2,z+1/2'
'-x,-y+1/2,z+1/2'
'-x,y+1/2,z+1/2'
'x,-y+1/2,z+1/2'
loop_
_atom_site_label
_atom_site_type_symbol
_atom_site_fract_x
_atom_site_fract_y
_atom_site_fract_z
Ba1 Ba 0.2210 0.2486 0.0000
Na1 Na 0.0000 0.0000 0.7431
Na2 Na 0.5000 0.0000 0.2055
W1 W 0.0000 0.0000 0.2472
W2 W 0.5000 0.0000 0.7282
O1 O 0.0000 0.0000 0.0165
O2 O 0.0000 0.0000 0.4731
O3 O 0.0000 0.2313 0.2400
O4 O 0.2286 0.0000 0.2503
O5 O 0.2774 0.0000 0.7198
O6 O 0.5000 0.0000 0.9438
O7 O 0.5000 0.1994 0.6250
```

Record 2
Starting from a crystal structure in the Materials Project, relaxed with PBE+U, the XRD peak list of V2AgP2O10 was calculated for Cu Kα.
Kinematic intensities with the Lorentz-polarization factor, no thermal factor.

Most intense lines, 2θ = 15–90°, by angle:
| hkl | 2theta | I_rel |
| --- | --- | --- |
| 1 0 2 | 19.9 | 467 |
| 1 1 -2 | 22.2 | 418 |
| 0 1 4 | 23.3 | 418 |
| 1 2 0 | 27.5 | 470 |
| 1 1 -4 | 28.4 | 1000 |
| 1 1 4 | 29.2 | 393 |
| 1 2 2 | 29.6 | 690 |
| 1 1 6 | 37.7 | 399 |

Structure:
```
data_V2AgP2O10
_space_group_name_H-M_alt 'P 1 21/c 1'
_space_group_IT_number 14
_cell_length_a 5.3082
_cell_length_b 8.2199
_cell_length_c 17.2643
_cell_angle_alpha 90.00
_cell_angle_beta 91.70
_cell_angle_gamma 90.00
loop_
_space_group_symop_operation_xyz
'x,y,z'
'-x,-y,-z'
'-x,y+1/2,-z+1/2'
'x,-y+1/2,z+1/2'
loop_
_atom_site_label
_atom_site_type_symbol
_atom_site_fract_x
_atom_site_fract_y
_atom_site_fract_z
V1 V 0.0342 0.0322 0.1469
V2 V 0.3551 0.6325 0.9293
Ag1 Ag 0.4338 0.2124 0.3128
P1 P 0.1328 0.2351 0.9840
P2 P 0.1433 0.0778 0.6828
O1 O 0.1006 0.5204 0.8585
O2 O 0.1169 0.6730 0.0138
O3 O 0.1444 0.2346 0.1970
O4 O 0.1548 0.1375 0.9068
O5 O 0.1575 0.1104 0.0518
O6 O 0.1726 0.5029 0.2645
O7 O 0.2749 0.5784 0.6757
O8 O 0.3162 0.6867 0.3891
O9 O 0.3628 0.1469 0.4874
O10 O 0.3830 0.0302 0.6398
```

Record 3
Starting from a crystal structure in the Materials Project, relaxed with PBE+U, the XRD peak list of La2MgMoO6 was calculated for Cu Kα.
Kinematic intensities with the Lorentz-polarization factor, no thermal factor.

Most intense lines, 2θ = 15–90°, by angle:
| hkl | 2theta | I_rel |
| --- | --- | --- |
| 1 1 1 | 25.6 | 1000 |
| 0 2 0 | 28.3 | 215 |
| 2 0 -1 | 29.1 | 204 |
| 2 2 -1 | 41.1 | 162 |
| 0 2 3 | 42.8 | 181 |
| 2 0 2 | 43.4 | 172 |
| 1 3 1 | 48.6 | 173 |
| 2 2 2 | 52.6 | 222 |

Structure:
```
data_La2MgMoO6
_space_group_name_H-M_alt 'C 1 m 1'
_space_group_IT_number 8
_cell_length_a 6.1316
_cell_length_b 6.2974
_cell_length_c 9.0681
_cell_angle_alpha 90.00
_cell_angle_beta 109.72
_cell_angle_gamma 90.00
loop_
_space_group_symop_operation_xyz
'x,y,z'
'x,-y,z'
'x+1/2,y+1/2,z'
'x+1/2,-y+1/2,z'
loop_
_atom_site_label
_atom_site_type_symbol
_atom_site_fract_x
_atom_site_fract_y
_atom_site_fract_z
La1 La 0.0000 0.0000 0.0000
La2 La 0.1678 0.5000 0.3348
Mg1 Mg 0.4943 0.0000 0.9897
Mo1 Mo 0.3211 0.0000 0.6418
O1 O 0.1220 0.5000 0.8183
O2 O 0.1960 0.0000 0.8180
O3 O 0.2503 0.2341 0.5005
O4 O 0.3148 0.2496 0.1280
```

Record 4
Starting from a crystal structure in the Materials Project, relaxed with PBE+U, the XRD peak list of LiNi2OF3 was calculated for Cu Kα.
Kinematic intensities with the Lorentz-polarization factor, no thermal factor.

Most intense lines, 2θ = 15–90°, by angle:
| hkl | 2theta | I_rel |
| --- | --- | --- |
| 1 0 1 | 17.8 | 927 |
| 0 1 1 | 18.1 | 1000 |
| 1 0 3 | 34.6 | 211 |
| 2 1 1 | 34.7 | 524 |
| 1 2 1 | 35.0 | 326 |
| 0 0 4 | 42.0 | 431 |
| 2 2 0 | 42.4 | 865 |
| 2 2 4 | 61.2 | 516 |

Structure:
```
data_LiNi2OF3
_space_group_name_H-M_alt 'P n m a'
_space_group_IT_number 62
_cell_length_a 6.0892
_cell_length_b 5.9838
_cell_length_c 8.6079
_cell_angle_alpha 90.00
_cell_angle_beta 90.00
_cell_angle_gamma 90.00
loop_
_space_group_symop_operation_xyz
'x,y,z'
'-x,-y,-z'
'-x+1/2,-y,z+1/2'
'x+1/2,y,-z+1/2'
'x+1/2,-y+1/2,-z+1/2'
'-x+1/2,y+1/2,z+1/2'
'-x,y+1/2,-z'
'x,-y+1/2,z'
loop_
_atom_site_label
_atom_site_type_symbol
_atom_site_fract_x
_atom_site_fract_y
_atom_site_fract_z
Li1 Li 0.0273 0.2500 0.1063
Ni1 Ni 0.0000 0.0000 0.5000
Ni2 Ni 0.2460 0.7500 0.2618
O1 O 0.2080 0.7500 0.4857
F1 F 0.0050 0.0117 0.7512
F2 F 0.2501 0.2500 0.5199
```